Starting from a crystal structure in the Materials Project, relaxed with GGA-PBE, the powder XRD pattern of TiP4W3 was simulated for Cu Ka.
Neutral-atom scattering factors, no anomalous dispersion.

Cell lengths 5.7523, 3.2802, 6.2991 Å; angles 90.00, 90.19, 90.00 degrees
Atoms (fractional coordinates):
Ti 0.0000 0.0000 0.0000
P 0.1802 0.0000 0.3785
P 0.3048 0.5000 0.8717
P 0.6814 0.0000 0.7433
P 0.8012 0.5000 0.2423
W 0.4807 0.5000 0.4978
W 0.4984 0.0000 0.1198
W 0.9797 0.5000 0.6210

The 10 most intense peaks (2θ from 10° to 90°), in order of falling intensity:
d 2.909, I = 100; d 2.045, I = 100; d 2.113, I = 67; d 2.876, I = 48; d 4.247, I = 47; d 3.150, I = 31; d 6.299, I = 21; d 2.127, I = 21; d 1.970, I = 20; d 1.974, I = 20